# 1
Diffraction record for UNi3P2. The X-ray diffraction stick pattern is calculated, not measured: it uses a structure optimized by DFT (PBE) and a wavelength of 1.5418 Å.
Lines closer than 0.1° are merged.

Top 12 peaks for 5 to 70 degrees two-theta, in order of rising 2θ:
d_spacing, Rel. int.
4.902, 240
3.601, 252
3.248, 240
2.915, 223
2.668, 405
2.647, 404
2.451, 246
2.396, 310
2.351, 1000
2.336, 476
1.860, 392
1.739, 233

Structural model:
```
UNi3P2
1.0
7.509 -1.860 0.000
7.509 1.860 0.000
-2.640 0.000 8.746
U Ni P
3 9 6
Cartesian
0.000 0.000 0.000
0.486 0.000 6.161
11.892 0.000 2.585
-0.271 0.000 2.989
2.186 0.000 3.457
4.775 0.000 0.236
3.464 0.000 6.867
6.189 0.000 4.373
8.913 0.000 1.879
7.603 0.000 8.510
10.192 0.000 5.289
12.649 0.000 5.757
2.632 0.000 1.133
3.990 0.000 4.718
6.429 0.000 1.847
5.949 0.000 6.899
8.388 0.000 4.028
9.746 0.000 7.613
```

---

# 2
Diffraction record for UNi3P2. The X-ray diffraction stick pattern is calculated, not measured: it uses a structure optimized by DFT (PBE) and a wavelength of 1.5418 Å.
Lines closer than 0.1° are merged.

Top 12 peaks for 5 to 70 degrees two-theta, in order of rising 2θ:
d_spacing, Rel. int.
3.997, 165
3.601, 146
2.967, 178
2.507, 128
2.390, 373
2.365, 1000
2.330, 140
2.237, 178
1.882, 258
1.775, 164
1.745, 128
1.673, 125

Structural model:
```
UNi3P2
1.0
3.764 0.000 0.000
0.000 10.473 0.000
0.000 0.000 12.372
U Ni P
6 18 12
Cartesian
0.941 0.694 2.542
0.941 2.618 5.913
0.941 4.543 2.542
2.823 5.931 9.831
2.823 7.855 6.459
2.823 9.779 9.831
0.941 1.353 8.737
0.941 2.618 0.176
0.941 3.884 8.737
0.941 5.780 5.307
0.941 6.086 12.349
0.941 7.855 1.981
0.941 7.855 8.664
0.941 9.624 12.349
0.941 9.930 5.307
2.823 0.544 7.065
2.823 0.849 0.023
2.823 2.618 3.708
2.823 2.618 10.391
2.823 4.387 0.023
2.823 4.693 7.065
2.823 6.589 3.635
2.823 7.855 12.196
2.823 9.121 3.635
0.941 1.016 11.018
0.941 4.221 11.018
0.941 5.890 7.589
0.941 7.855 4.249
0.941 7.855 10.885
0.941 9.820 7.589
2.823 0.653 4.783
2.823 2.618 1.488
2.823 2.618 8.124
2.823 4.584 4.783
2.823 6.253 1.355
2.823 9.457 1.355
```

---

# 3
Diffraction record for UNi6P2. The X-ray diffraction stick pattern is calculated, not measured: it uses a structure optimized by DFT (PBE) and a wavelength of 1.5418 Å.
Lines closer than 0.1° are merged.

Top 12 peaks for 5 to 70 degrees two-theta, in order of rising 2θ:
d_spacing, Rel. int.
3.692, 160
3.377, 349
2.766, 351
2.492, 197
2.222, 259
2.213, 1000
2.087, 111
1.846, 414
1.817, 138
1.535, 123
1.420, 128
1.383, 115

Structural model:
```
UNi6P2
1.0
3.692 0.000 0.000
0.000 3.692 0.000
0.000 0.000 8.349
U Ni P
1 6 2
Cartesian
0.000 0.000 0.000
0.000 0.000 4.174
0.000 1.846 2.476
0.000 1.846 5.873
1.846 0.000 2.476
1.846 0.000 5.873
1.846 1.846 4.174
1.846 1.846 1.211
1.846 1.846 7.138
```